Starting from the GGA-PBE geometry in Alexandria, the powder X-ray diffraction pattern of DyPd2F11 was computed for λ = 1.5418 Å (Cu Kα).
Peak positions follow from Bragg's law for the DFT cell and can differ from measured ones.

Crystal structure
Cell: 8.066 8.066 8.066 Å, 113.93 113.93 100.88°
Element x y z (fractional)
Dy1 0.250 0.250 0.000
Dy2 0.750 0.750 0.000
Pd1 0.168 0.668 0.836
Pd2 0.332 0.168 0.500
Pd3 0.668 0.832 0.500
Pd4 0.832 0.332 0.164
F1 0.000 0.500 0.500
F2 0.073 0.351 0.154
F3 0.081 0.927 0.278
F4 0.149 0.427 0.846
F5 0.182 0.318 0.500
F6 0.197 0.919 0.846
F7 0.303 0.149 0.722
F8 0.318 0.818 0.136
F9 0.351 0.197 0.278
F10 0.419 0.697 0.846
F11 0.427 0.581 0.278
F12 0.500 0.000 0.500
F13 0.573 0.419 0.722
F14 0.581 0.303 0.154
F15 0.649 0.803 0.722
F16 0.682 0.182 0.864
F17 0.697 0.851 0.278
F18 0.803 0.081 0.154
F19 0.818 0.682 0.500
F20 0.851 0.573 0.154
F21 0.919 0.073 0.722
F22 0.927 0.649 0.846

Top 12 peaks for 2θ = 5–70°, low angle first:
| two_theta | I/Imax |
| --- | --- |
| 14.24 | 29.0 |
| 22.45 | 100.0 |
| 24.23 | 73.9 |
| 26.69 | 82.6 |
| 32.19 | 33.7 |
| 44.84 | 17.4 |
| 45.82 | 29.5 |
| 46.16 | 17.6 |
| 47.29 | 40.9 |
| 48.23 | 37.8 |
| 50.40 | 16.2 |
| 56.26 | 17.3 |

=====

Starting from the GGA-PBE geometry in Alexandria, the powder X-ray diffraction pattern of PmDyF6 was computed for λ = 1.5418 Å (Cu Kα).
Peak positions follow from Bragg's law for the DFT cell and can differ from measured ones.

Crystal structure
Cell: 5.910 5.917 6.346 Å, 62.33 62.31 60.12°
Element x y z (fractional)
Pm1 0.000 0.000 0.000
Dy1 0.500 0.500 0.500
F1 0.168 0.745 0.745
F2 0.254 0.659 0.255
F3 0.342 0.168 0.745
F4 0.658 0.832 0.255
F5 0.746 0.341 0.745
F6 0.832 0.255 0.255

Top 12 peaks for 2θ = 5–70°, low angle first:
| two_theta | I/Imax |
| --- | --- |
| 20.56 | 100.0 |
| 28.23 | 31.1 |
| 30.21 | 22.2 |
| 36.79 | 7.1 |
| 41.82 | 20.2 |
| 45.70 | 27.1 |
| 48.31 | 12.6 |
| 48.39 | 6.3 |
| 48.71 | 7.2 |
| 52.39 | 6.5 |
| 52.51 | 6.2 |
| 53.62 | 5.4 |